This entry pairs a crystal structure of Zr2Cr2F3 with its computed powder diffractogram. Radiation: a wavelength of 1.5418 Å. Structure: the GGA+U geometry in the Materials Project.
Kinematic intensities with the Lorentz-polarization factor, no thermal factor.

Principal peaks in the range 2θ = 10–80°, by intensity:
2θ/deg	d/Å	intensity
34.7	2.582	100
31.7	2.821	90
35.5	2.532	79
32.9	2.726	70
45.5	1.994	55
28.6	3.126	50
14.8	6.003	49
27.6	3.235	44
37.4	2.402	40
28.7	3.107	31
26.2	3.397	30
29.8	3.002	25

Cell: 7.956 10.128 6.012 Å, 90.00 93.05 90.00°
Space group Cm (No. 8)
Inequivalent atoms, fractional coordinates:
Zr (0.000, 0.000, 0.000) x2
Zr (0.133, 0.500, 0.952) x2
Zr (0.301, 0.236, 0.837) x4
Cr (0.095, 0.269, 0.280) x4
Cr (0.316, 0.500, 0.519) x2
Cr (0.456, 0.000, 0.525) x2
F (0.041, 0.000, 0.349) x2
F (0.217, 0.000, 0.808) x2
F (0.272, 0.184, 0.489) x4
F (0.410, 0.126, 0.122) x4

***

This entry pairs a crystal structure of Mn5FeP6O24 with its computed powder diffractogram. Radiation: a wavelength of 1.5418 Å. Structure: the GGA+U geometry in the Materials Project.
Kinematic intensities with the Lorentz-polarization factor, no thermal factor.

Principal peaks in the range 2θ = 10–80°, by intensity:
2θ/deg	d/Å	intensity
24.3	3.662	100
20.7	4.289	95
32.9	2.722	71
36.3	2.475	37
47.3	1.924	30
49.8	1.831	28
56.8	1.621	26
63.2	1.472	18
32.2	2.782	17
25.4	3.503	14
56.7	1.624	14
29.4	3.038	14

Cell: 8.5746 8.5746 21.1331 Å, 90.00 90.00 120.00°
Space group R3 (No. 146, hexagonal axes)
Inequivalent atoms, fractional coordinates:
Mn (0.0000, 0.0000, 0.0000) x3
Mn (0.0000, 0.0000, 0.1435) x3
Mn (0.0000, 0.0000, 0.4985) x3
Mn (0.0000, 0.0000, 0.6434) x3
Mn (0.0000, 0.0000, 0.8562) x3
Fe (0.0000, 0.0000, 0.3551) x3
P (0.0002, 0.2922, 0.2489) x9
P (0.0001, 0.7118, 0.7506) x9
O (0.0093, 0.8102, 0.6892) x9
O (0.0097, 0.2016, 0.1880) x9
O (0.0212, 0.1815, 0.9189) x9
O (0.0231, 0.8349, 0.4222) x9
O (0.1394, 0.4645, 0.9764) x9
O (0.1469, 0.6724, 0.4780) x9
O (0.1697, 0.4841, 0.2447) x9
O (0.1723, 0.6929, 0.7460) x9